# DyAg2F8
Computed X-ray powder pattern, Cu Kα. Input: DFT lattice parameters and positions (PBE).
Peak positions follow from Bragg's law for the DFT cell and can differ from measured ones.

Crystal structure
a = 7.006 Å, b = 7.006 Å, c = 4.197 Å
α = 90.00°, β = 90.00°, γ = 120.00°
Positions (direct):
Dy 0.000 0.000 0.000
Ag 0.333 0.667 0.738
Ag 0.667 0.333 0.262
F 0.155 0.312 0.737
F 0.157 0.845 0.737
F 0.312 0.157 0.263
F 0.333 0.667 0.237
F 0.667 0.333 0.763
F 0.688 0.843 0.737
F 0.843 0.155 0.263
F 0.845 0.688 0.263

Largest 10 diffraction maxima, sorted by position, 10° ≤ 2θ ≤ 90°:
two_theta, d/Å, I/Imax, hkl
25.43, 3.503, 1000, 1 1 0
25.81, 3.451, 808, 1 0 1
36.55, 2.458, 170, 0 2 1
44.82, 2.022, 211, 3 0 0
45.05, 2.012, 391, 2 1 1
45.75, 1.983, 191, 0 1 2
52.23, 1.751, 245, 2 2 0
53.07, 1.726, 200, 2 0 2
59.15, 1.562, 151, 4 -3 1
59.74, 1.548, 202, 3 -2 2